1.
This entry pairs a crystal structure of GdFe2SiC with its theoretical PXRD pattern. Radiation: Cu Kα (weighted mean of Kα1 and Kα2). Structure: a DFT-relaxed cell (GGA-PBE, the Materials Project).
Lines closer than 0.1° are merged.

Top 12 peaks for 2θ = 15–90°, low angle first:
2theta  Rel. int.
25.13  20
28.45  15
31.67  31
35.25  53
36.79  100
37.22  45
37.77  49
43.90  23
48.25  27
54.43  24
62.47  19
66.17  23

Cell and atoms:
```
data_GdFe2SiC
_chemical_formula_sum 'Gd4 Fe8 Si4 C4'
_cell_length_a 3.7725
_cell_length_b 10.3496
_cell_length_c 6.7453
_cell_angle_alpha 90.00
_cell_angle_beta 90.00
_cell_angle_gamma 90.00
_symmetry_space_group_name_H-M 'C m c m'
_symmetry_Int_Tables_number 63
_symmetry_space_group_name_Hall '-C 2c 2'
loop_
_atom_site_label
_atom_site_type_symbol
_atom_site_fract_x
_atom_site_fract_y
_atom_site_fract_z
Gd1 Gd 0.0000 0.0472 0.2500
Fe1 Fe 0.0000 0.3333 0.0638
Si1 Si 0.0000 0.2339 0.7500
C1 C 0.0000 0.5000 0.0000
```



2.
This entry pairs a crystal structure of Tl3Si with its theoretical PXRD pattern. Radiation: Cu Kα (weighted mean of Kα1 and Kα2). Structure: a DFT-relaxed cell (GGA-PBE, the Materials Project).
Lines closer than 0.1° are merged.

Top 12 peaks for 2θ = 15–90°, low angle first:
2theta  Rel. int.
18.55  21
26.35  19
32.42  100
37.61  50
42.24  11
46.50  8
54.23  36
57.82  6
64.62  42
67.87  12
80.27  6
89.25  19

Cell and atoms:
```
data_Tl3Si
_chemical_formula_sum 'Tl3 Si1'
_cell_length_a 4.7837
_cell_length_b 4.7837
_cell_length_c 4.7837
_cell_angle_alpha 90.00
_cell_angle_beta 90.00
_cell_angle_gamma 90.00
_symmetry_space_group_name_H-M 'P m -3 m'
_symmetry_Int_Tables_number 221
_symmetry_space_group_name_Hall '-P 4 2 3'
loop_
_atom_site_label
_atom_site_type_symbol
_atom_site_fract_x
_atom_site_fract_y
_atom_site_fract_z
Tl1 Tl 0.0000 0.0000 0.5000
Si1 Si 0.5000 0.5000 0.5000
```



3.
This entry pairs a crystal structure of Er2ThOF10 with its theoretical PXRD pattern. Radiation: Cu Kα (weighted mean of Kα1 and Kα2). Structure: a DFT-relaxed cell (GGA-PBE, the Materials Project).
Lines closer than 0.1° are merged.

Top 12 peaks for 2θ = 15–90°, low angle first:
2theta  Rel. int.
15.31  29
21.10  29
26.18  100
29.10  15
30.91  26
42.97  31
44.28  16
49.84  21
52.17  35
53.87  14
68.85  13
80.59  11

Cell and atoms:
```
data_Er2ThOF10
_chemical_formula_sum 'Er8 Th4 O4 F40'
_cell_length_a 8.1819
_cell_length_b 8.1819
_cell_length_c 12.2747
_cell_angle_alpha 90.00
_cell_angle_beta 90.00
_cell_angle_gamma 90.00
_symmetry_space_group_name_H-M 'I 4/m m m'
_symmetry_Int_Tables_number 139
_symmetry_space_group_name_Hall '-I 4 2'
loop_
_atom_site_label
_atom_site_type_symbol
_atom_site_fract_x
_atom_site_fract_y
_atom_site_fract_z
Er1 Er 0.2409 0.2409 0.0000
Th1 Th 0.0000 0.0000 0.2409
O1 O 0.0000 0.5000 0.2500
F1 F 0.0000 0.2217 0.1048
F2 F 0.0000 0.3158 0.5000
F3 F 0.1675 0.1675 0.3387
```



4.
This entry pairs a crystal structure of KH8N3 with its theoretical PXRD pattern. Radiation: Cu Kα (weighted mean of Kα1 and Kα2). Structure: a DFT-relaxed cell (GGA-PBE, the Materials Project).
Lines closer than 0.1° are merged.

Top 12 peaks for 2θ = 15–90°, low angle first:
2theta  Rel. int.
15.70  87
18.14  19
20.72  25
31.43  100
31.71  35
33.29  96
34.57  53
37.72  44
39.31  30
40.21  21
50.44  28
62.91  15

Cell and atoms:
```
data_KH8N3
_chemical_formula_sum 'K4 H32 N12'
_cell_length_a 6.9118
_cell_length_b 9.7784
_cell_length_c 6.5916
_cell_angle_alpha 90.00
_cell_angle_beta 90.00
_cell_angle_gamma 90.00
_symmetry_space_group_name_H-M 'C 2 2 21'
_symmetry_Int_Tables_number 20
loop_
_symmetry_equiv_pos_as_xyz
'x,y,z'
'-x,-y,z+1/2'
'x,-y,-z'
'-x,y,-z+1/2'
'x+1/2,y+1/2,z'
'-x+1/2,-y+1/2,z+1/2'
'x+1/2,-y+1/2,-z'
'-x+1/2,y+1/2,-z+1/2'
loop_
_atom_site_label
_atom_site_type_symbol
_atom_site_fract_x
_atom_site_fract_y
_atom_site_fract_z
K1 K 0.0000 0.0635 0.2500
H1 H 0.0850 0.4958 0.8784
H2 H 0.1345 0.3466 0.4765
H3 H 0.2113 0.2837 0.9472
H4 H 0.2426 0.1646 0.7664
N1 N 0.1788 0.5000 0.0000
N2 N 0.2319 0.1795 0.9195
```



5.
This entry pairs a crystal structure of Sr4LaCl11 with its theoretical PXRD pattern. Radiation: Cu Kα (weighted mean of Kα1 and Kα2). Structure: a DFT-relaxed cell (GGA-PBE, the Materials Project).
Lines closer than 0.1° are merged.

Top 12 peaks for 2θ = 15–90°, low angle first:
2theta  Rel. int.
21.85  96
35.84  100
36.50  48
41.79  18
42.95  33
50.58  8
52.58  16
56.67  14
57.59  8
63.97  16
65.27  31
75.96  9

Cell and atoms:
```
data_Sr4LaCl11
_chemical_formula_sum 'Sr8 La2 Cl22'
_cell_length_a 4.9228
_cell_length_b 4.9228
_cell_length_c 36.0907
_cell_angle_alpha 90.00
_cell_angle_beta 90.00
_cell_angle_gamma 90.00
_symmetry_space_group_name_H-M 'I 4/m m m'
_symmetry_Int_Tables_number 139
_symmetry_space_group_name_Hall '-I 4 2'
loop_
_atom_site_label
_atom_site_type_symbol
_atom_site_fract_x
_atom_site_fract_y
_atom_site_fract_z
Sr1 Sr 0.0000 0.0000 0.1023
Sr2 Sr 0.0000 0.0000 0.2995
La1 La 0.0000 0.0000 0.5000
Cl1 Cl 0.0000 0.0000 0.0000
Cl2 Cl 0.0000 0.5000 0.0550
Cl3 Cl 0.0000 0.5000 0.1513
Cl4 Cl 0.0000 0.5000 0.2500
```



6.
This entry pairs a crystal structure of Na2Re3Se6 with its theoretical PXRD pattern. Radiation: Cu Kα (weighted mean of Kα1 and Kα2). Structure: a DFT-relaxed cell (GGA-PBE, the Materials Project).
Lines closer than 0.1° are merged.

Top 12 peaks for 2θ = 15–90°, low angle first:
2theta  Rel. int.
31.61  37
33.95  39
34.78  39
37.04  36
37.13  37
37.67  70
38.56  39
41.95  58
42.02  43
45.73  100
46.98  36
47.63  94

Cell and atoms:
```
data_Na2Re3Se6
_chemical_formula_sum 'Na16 Re24 Se48'
_cell_length_a 16.8780
_cell_length_b 10.1328
_cell_length_c 12.2242
_cell_angle_alpha 90.00
_cell_angle_beta 92.59
_cell_angle_gamma 90.00
_symmetry_space_group_name_H-M 'C 1 2/c 1'
_symmetry_Int_Tables_number 15
loop_
_symmetry_equiv_pos_as_xyz
'x,y,z'
'-x,-y,-z'
'-x,y,-z+1/2'
'x,-y,z+1/2'
'x+1/2,y+1/2,z'
'-x+1/2,-y+1/2,-z'
'-x+1/2,y+1/2,-z+1/2'
'x+1/2,-y+1/2,z+1/2'
loop_
_atom_site_label
_atom_site_type_symbol
_atom_site_fract_x
_atom_site_fract_y
_atom_site_fract_z
Na1 Na 0.0000 0.0717 0.2500
Na2 Na 0.0000 0.2862 0.7500
Na3 Na 0.1219 0.2723 0.0075
Re1 Re 0.1592 0.3510 0.4692
Re2 Re 0.2047 0.1083 0.4183
Re3 Re 0.2051 0.1840 0.6282
Se1 Se 0.0340 0.4870 0.4152
Se2 Se 0.0747 0.1501 0.5151
Se3 Se 0.1378 0.0953 0.8078
Se4 Se 0.1612 0.2730 0.2709
Se5 Se 0.1629 0.4186 0.6688
Se6 Se 0.2496 0.0453 0.0741
```